1.
Theoretical powder diffraction line list
Compound: Ba2BeCl
Radiation: copper Kα
Structure: DFT lattice parameters and positions (GGA-PBE)
Kinematic intensities with the Lorentz-polarization factor, no thermal factor.

The 12 most intense peaks (15° ≤ 2θ ≤ 90°), low angle first:
- d 3.816, 2θ = 23.3°, I 100, hkl 1 1 0
- d 3.319, 2θ = 26.9°, I 35, hkl 0 2 0
- d 3.298, 2θ = 27.0°, I 69, hkl 1 0 1
- d 2.339, 2θ = 38.5°, I 52, hkl 1 2 1
- d 2.332, 2θ = 38.6°, I 26, hkl 2 0 0
- d 1.999, 2θ = 45.4°, I 18, hkl 1 3 0
- d 1.990, 2θ = 45.6°, I 35, hkl 2 1 1
- d 1.908, 2θ = 47.7°, I 28, hkl 2 2 0
- d 1.518, 2θ = 61.1°, I 15, hkl 2 3 1
- d 1.482, 2θ = 62.7°, I 12, hkl 1 4 1
- d 1.476, 2θ = 63.0°, I 18, hkl 2 2 2
- d 1.348, 2θ = 69.8°, I 18, hkl 3 2 1

Structure:
Unit cell a=4.6613 b=6.6376 c=4.6655 alpha=90.00 beta=90.00 gamma=90.00
Space group Pm (No. 6)
One atom of each set of equivalent atoms:
Ba (0.0000, 0.0000, 0.0000) (multiplicity 1)
Ba (0.4958, 0.5000, 0.5021) (multiplicity 1)
Be (0.5024, 0.0000, 0.4985) (multiplicity 1)
Cl (0.9963, 0.5000, 0.0019) (multiplicity 1)

***

2.
Theoretical powder diffraction line list
Compound: Cs2K4TlPb2
Radiation: copper Kα
Structure: DFT lattice parameters and positions (GGA-PBE)
Kinematic intensities with the Lorentz-polarization factor, no thermal factor.

The 12 most intense peaks (15° ≤ 2θ ≤ 90°), low angle first:
- d 5.703, 2θ = 15.5°, I 62, hkl 2 0 -1
- d 5.222, 2θ = 17.0°, I 39, hkl 1 1 -1
- d 4.581, 2θ = 19.4°, I 79, hkl 0 2 0
- d 3.661, 2θ = 24.3°, I 42, hkl 0 2 1
- d 3.571, 2θ = 24.9°, I 100, hkl 2 2 -1
- d 3.253, 2θ = 27.4°, I 33, hkl 3 1 1
- d 3.177, 2θ = 28.1°, I 59, hkl 2 0 -2
- d 3.108, 2θ = 28.7°, I 36, hkl 2 2 1
- d 2.960, 2θ = 30.2°, I 42, hkl 5 1 0
- d 2.609, 2θ = 34.4°, I 53, hkl 6 0 0
- d 2.267, 2θ = 39.8°, I 35, hkl 6 2 0
- d 1.857, 2θ = 49.0°, I 44, hkl 2 4 -2

Structure:
Unit cell a=16.3874 b=9.1622 c=6.3833 alpha=90.00 beta=107.41 gamma=90.00
Space group C2/m (No. 12)
One atom of each set of equivalent atoms:
Cs (0.1392, 0.0000, 0.1775) (multiplicity 4)
K (0.1331, 0.2854, 0.6707) (multiplicity 8)
Tl (0.0000, 0.5000, 0.0000) (multiplicity 2)
Pb (0.1850, 0.5000, 0.2139) (multiplicity 4)

***

3.
Theoretical powder diffraction line list
Compound: Na5B7C3
Radiation: copper Kα
Structure: DFT lattice parameters and positions (GGA-PBE)
Kinematic intensities with the Lorentz-polarization factor, no thermal factor.

The 12 most intense peaks (15° ≤ 2θ ≤ 90°), low angle first:
- d 2.563, 2θ = 35.0°, I 11, hkl 0 10 0
- d 2.487, 2θ = 36.1°, I 18, hkl 1 5 0
- d 2.198, 2θ = 41.1°, I 52, hkl 0 10 2
- d 2.149, 2θ = 42.0°, I 100, hkl 1 5 2
- d 2.135, 2θ = 42.3°, I 38, hkl 0 0 4
- d 1.620, 2θ = 56.8°, I 10, hkl 1 5 4
- d 1.465, 2θ = 63.5°, I 18, hkl 1 15 0
- d 1.422, 2θ = 65.6°, I 9, hkl 2 0 0
- d 1.235, 2θ = 77.2°, I 13, hkl 1 5 6
- d 1.208, 2θ = 79.3°, I 17, hkl 1 15 4
- d 1.194, 2θ = 80.4°, I 11, hkl 2 10 2
- d 1.184, 2θ = 81.3°, I 8, hkl 2 0 4

Structure:
Unit cell a=2.8446 b=25.6327 c=8.5397 alpha=90.00 beta=90.00 gamma=90.00
Space group Cmcm (No. 63)
One atom of each set of equivalent atoms:
Na (0.0000, 0.0000, 0.0000) (multiplicity 4)
Na (0.0000, 0.1997, 0.0016) (multiplicity 8)
Na (0.0000, 0.4002, 0.0033) (multiplicity 8)
B (0.0000, 0.0664, 0.7500) (multiplicity 4)
B (0.0000, 0.0668, 0.2500) (multiplicity 4)
B (0.0000, 0.1356, 0.7500) (multiplicity 4)
B (0.0000, 0.2689, 0.7500) (multiplicity 4)
B (0.0000, 0.2703, 0.2500) (multiplicity 4)
B (0.0000, 0.3387, 0.7500) (multiplicity 4)
B (0.0000, 0.4735, 0.2500) (multiplicity 4)
C (0.0000, 0.1308, 0.2500) (multiplicity 4)
C (0.0000, 0.3332, 0.2500) (multiplicity 4)
C (0.0000, 0.4642, 0.7500) (multiplicity 4)

***

4.
Theoretical powder diffraction line list
Compound: Pu4CdHg7
Radiation: copper Kα
Structure: DFT lattice parameters and positions (GGA-PBE)
Kinematic intensities with the Lorentz-polarization factor, no thermal factor.

The 12 most intense peaks (15° ≤ 2θ ≤ 90°), low angle first:
- d 3.254, 2θ = 27.4°, I 17, hkl 0 0 3
- d 2.935, 2θ = 30.5°, I 62, hkl 4 0 -3
- d 2.737, 2θ = 32.7°, I 75, hkl 0 2 0
- d 2.595, 2θ = 34.6°, I 100, hkl 3 1 1
- d 2.415, 2θ = 37.2°, I 74, hkl 1 1 -4
- d 2.252, 2θ = 40.0°, I 18, hkl 5 1 -3
- d 2.002, 2θ = 45.3°, I 43, hkl 4 2 -3
- d 1.672, 2θ = 54.9°, I 16, hkl 7 1 -2
- d 1.551, 2θ = 59.6°, I 22, hkl 3 3 1
- d 1.510, 2θ = 61.4°, I 18, hkl 1 3 -4
- d 1.381, 2θ = 67.8°, I 17, hkl 2 2 5
- d 1.345, 2θ = 70.0°, I 17, hkl 2 0 -8

Structure:
Unit cell a=12.5720 b=5.4736 c=11.3066 alpha=90.00 beta=120.21 gamma=90.00
Space group C2/m (No. 12)
One atom of each set of equivalent atoms:
Pu (0.0793, 0.0000, 0.2757) (multiplicity 4)
Pu (0.2333, 0.0000, 0.8147) (multiplicity 4)
Cd (0.0000, 0.5000, 0.5000) (multiplicity 2)
Hg (0.0000, 0.0000, 0.5000) (multiplicity 2)
Hg (0.0729, 0.5000, 0.8504) (multiplicity 4)
Hg (0.1372, 0.0000, 0.0332) (multiplicity 4)
Hg (0.1983, 0.5000, 0.4206) (multiplicity 4)

***

5.
Theoretical powder diffraction line list
Compound: Pr2Sn3Pt2
Radiation: copper Kα
Structure: DFT lattice parameters and positions (GGA-PBE)
Kinematic intensities with the Lorentz-polarization factor, no thermal factor.

The 12 most intense peaks (15° ≤ 2θ ≤ 90°), low angle first:
- d 3.050, 2θ = 29.3°, I 27, hkl 0 6 1
- d 2.866, 2θ = 31.2°, I 100, hkl 1 1 2
- d 2.796, 2θ = 32.0°, I 56, hkl 1 5 1
- d 2.657, 2θ = 33.7°, I 34, hkl 1 3 2
- d 2.505, 2θ = 35.8°, I 31, hkl 0 8 0
- d 2.427, 2θ = 37.0°, I 29, hkl 1 7 0
- d 2.347, 2θ = 38.3°, I 36, hkl 1 5 2
- d 2.286, 2θ = 39.4°, I 56, hkl 2 0 0
- d 2.233, 2θ = 40.4°, I 42, hkl 0 4 3
- d 2.081, 2θ = 43.5°, I 31, hkl 1 3 3
- d 2.036, 2θ = 44.5°, I 43, hkl 1 7 2
- d 1.400, 2θ = 66.8°, I 31, hkl 1 11 3

Structure:
Unit cell a=4.5726 b=20.0434 c=7.4832 alpha=90.00 beta=90.00 gamma=90.00
Space group Cmcm (No. 63)
One atom of each set of equivalent atoms:
Pr (0.0000, 0.0441, 0.2500) (multiplicity 4)
Pr (0.0000, 0.1621, 0.7500) (multiplicity 4)
Sn (0.0000, 0.2157, 0.2500) (multiplicity 4)
Sn (0.0000, 0.4306, 0.0545) (multiplicity 8)
Pt (0.0000, 0.2992, 0.5448) (multiplicity 8)

***

6.
Theoretical powder diffraction line list
Compound: K2Mg2Si2O7
Radiation: copper Kα
Structure: DFT lattice parameters and positions (GGA-PBE)
Kinematic intensities with the Lorentz-polarization factor, no thermal factor.

The 12 most intense peaks (15° ≤ 2θ ≤ 90°), low angle first:
- d 2.667, 2θ = 33.6°, I 100, hkl 1 0 2
- d 2.575, 2θ = 34.8°, I 89, hkl 1 1 0
- d 2.401, 2θ = 37.5°, I 56, hkl 1 1 1
- d 2.218, 2θ = 40.7°, I 16, hkl 0 0 3
- d 2.036, 2θ = 44.5°, I 62, hkl 2 -1 2
- d 1.852, 2θ = 49.2°, I 24, hkl 2 0 2
- d 1.664, 2θ = 55.2°, I 10, hkl 0 0 4
- d 1.504, 2θ = 61.7°, I 28, hkl 2 1 2
- d 1.487, 2θ = 62.5°, I 45, hkl 3 0 0
- d 1.397, 2θ = 67.0°, I 44, hkl 1 1 4
- d 1.159, 2θ = 83.4°, I 15, hkl 4 -1 2
- d 1.109, 2θ = 88.1°, I 17, hkl 3 0 4

Structure:
Unit cell a=5.1496 b=5.1496 c=6.6541 alpha=90.00 beta=90.00 gamma=120.00
Space group P-31m (No. 162)
One atom of each set of equivalent atoms:
K (0.3333, 0.6667, 0.0000) (multiplicity 2)
Mg (0.3333, 0.6667, 0.5000) (multiplicity 2)
Si (0.0000, 0.0000, 0.2578) (multiplicity 2)
O (0.0000, 0.0000, 0.0000) (multiplicity 1)
O (0.0000, 0.3100, 0.6813) (multiplicity 6)

***

7.
Theoretical powder diffraction line list
Compound: KRb2BaAs
Radiation: copper Kα
Structure: DFT lattice parameters and positions (GGA-PBE)
Kinematic intensities with the Lorentz-polarization factor, no thermal factor.

The 12 most intense peaks (15° ≤ 2θ ≤ 90°), low angle first:
- d 3.928, 2θ = 22.6°, I 100, hkl 1 1 1
- d 3.507, 2θ = 25.4°, I 94, hkl 2 0 0
- d 3.216, 2θ = 27.7°, I 37, hkl 0 0 2
- d 3.137, 2θ = 28.5°, I 22, hkl 2 1 0
- d 2.923, 2θ = 30.6°, I 18, hkl 1 0 2
- d 2.480, 2θ = 36.2°, I 36, hkl 2 2 0
- d 2.370, 2θ = 38.0°, I 63, hkl 2 0 2
- d 2.097, 2θ = 43.1°, I 35, hkl 3 1 1
- d 1.964, 2θ = 46.2°, I 36, hkl 2 2 2
- d 1.568, 2θ = 58.9°, I 20, hkl 4 2 0
- d 1.541, 2θ = 60.1°, I 29, hkl 4 0 2
- d 1.410, 2θ = 66.3°, I 24, hkl 4 2 2

Structure:
Unit cell a=7.0148 b=7.0148 c=6.4320 alpha=90.00 beta=90.00 gamma=90.00
Space group P4/mmm (No. 123)
One atom of each set of equivalent atoms:
K (0.0000, 0.0000, 0.0000) (multiplicity 1)
Rb (0.0000, 0.5000, 0.5000) (multiplicity 2)
Ba (0.5000, 0.5000, 0.0000) (multiplicity 1)
As (0.5000, 0.5000, 0.5000) (multiplicity 1)

***

8.
Theoretical powder diffraction line list
Compound: Pm6PrTl5
Radiation: copper Kα
Structure: DFT lattice parameters and positions (GGA-PBE)
Kinematic intensities with the Lorentz-polarization factor, no thermal factor.

The 12 most intense peaks (15° ≤ 2θ ≤ 90°), low angle first:
- d 2.837, 2θ = 31.5°, I 100, hkl 1 2 3
- d 2.595, 2θ = 34.6°, I 18, hkl 0 0 6
- d 2.565, 2θ = 35.0°, I 20, hkl 2 0 0
- d 2.256, 2θ = 40.0°, I 13, hkl 0 4 0
- d 1.824, 2θ = 50.0°, I 13, hkl 2 0 6
- d 1.703, 2θ = 53.8°, I 10, hkl 0 4 6
- d 1.694, 2θ = 54.1°, I 11, hkl 2 4 0
- d 1.541, 2θ = 60.0°, I 13, hkl 1 2 9
- d 1.528, 2θ = 60.6°, I 16, hkl 3 2 3
- d 1.418, 2θ = 65.8°, I 11, hkl 2 4 6
- d 1.391, 2θ = 67.3°, I 10, hkl 1 6 3
- d 1.174, 2θ = 82.1°, I 5, hkl 3 2 9

Structure:
Unit cell a=5.1290 b=9.0247 c=15.5700 alpha=90.00 beta=90.00 gamma=90.00
Space group Immm (No. 71)
One atom of each set of equivalent atoms:
Pm (0.0000, 0.2273, 0.0000) (multiplicity 4)
Pm (0.0000, 0.2632, 0.3286) (multiplicity 8)
Pr (0.0000, 0.0000, 0.5000) (multiplicity 2)
Tl (0.0000, 0.0000, 0.1771) (multiplicity 4)
Tl (0.0000, 0.5000, 0.1509) (multiplicity 4)
Tl (0.0000, 0.5000, 0.5000) (multiplicity 2)

***

9.
Theoretical powder diffraction line list
Compound: Ca3Al5
Radiation: copper Kα
Structure: DFT lattice parameters and positions (GGA-PBE)
Kinematic intensities with the Lorentz-polarization factor, no thermal factor.

The 12 most intense peaks (15° ≤ 2θ ≤ 90°), low angle first:
- d 4.382, 2θ = 20.3°, I 3, hkl 2 0 0
- d 2.601, 2θ = 34.5°, I 100, hkl 2 2 1
- d 2.305, 2θ = 39.1°, I 17, hkl 0 4 0
- d 2.268, 2θ = 39.7°, I 17, hkl 0 0 2
- d 2.191, 2θ = 41.2°, I 15, hkl 4 0 0
- d 1.616, 2θ = 57.0°, I 10, hkl 0 4 2
- d 1.588, 2θ = 58.1°, I 10, hkl 4 4 0
- d 1.576, 2θ = 58.6°, I 10, hkl 4 0 2
- d 1.381, 2θ = 67.9°, I 11, hkl 2 6 1
- d 1.365, 2θ = 68.8°, I 12, hkl 2 2 3
- d 1.331, 2θ = 70.8°, I 11, hkl 6 2 1
- d 1.301, 2θ = 72.7°, I 10, hkl 4 4 2

Structure:
Unit cell a=8.7630 b=9.2188 c=4.5356 alpha=90.00 beta=90.00 gamma=90.00
Space group Cmmm (No. 65)
One atom of each set of equivalent atoms:
Ca (0.0000, 0.0000, 0.0000) (multiplicity 2)
Ca (0.0000, 0.2641, 0.5000) (multiplicity 4)
Al (0.0000, 0.5000, 0.0000) (multiplicity 2)
Al (0.2475, 0.5000, 0.5000) (multiplicity 4)
Al (0.2500, 0.2500, 0.0000) (multiplicity 4)

***

10.
Theoretical powder diffraction line list
Compound: Dy2ThCu3
Radiation: copper Kα
Structure: DFT lattice parameters and positions (GGA-PBE)
Kinematic intensities with the Lorentz-polarization factor, no thermal factor.

The 12 most intense peaks (15° ≤ 2θ ≤ 90°), low angle first:
- d 3.578, 2θ = 24.9°, I 13, hkl 0 0 3
- d 3.463, 2θ = 25.7°, I 24, hkl 1 0 0
- d 2.488, 2θ = 36.1°, I 100, hkl 1 0 3
- d 2.449, 2θ = 36.7°, I 49, hkl 1 1 0
- d 2.021, 2θ = 44.9°, I 12, hkl 1 1 3
- d 1.789, 2θ = 51.1°, I 9, hkl 0 0 6
- d 1.732, 2θ = 52.9°, I 17, hkl 2 0 0
- d 1.445, 2θ = 64.5°, I 17, hkl 1 1 6
- d 1.421, 2θ = 65.7°, I 34, hkl 2 1 3
- d 1.244, 2θ = 76.6°, I 10, hkl 2 0 6
- d 1.099, 2θ = 89.1°, I 8, hkl 3 0 3
- d 1.095, 2θ = 89.5°, I 8, hkl 3 1 0

Structure:
Unit cell a=3.4632 b=3.4632 c=10.7337 alpha=90.00 beta=90.00 gamma=90.00
Space group P4/mmm (No. 123)
One atom of each set of equivalent atoms:
Dy (0.0000, 0.0000, 0.1615) (multiplicity 2)
Th (0.0000, 0.0000, 0.5000) (multiplicity 1)
Cu (0.5000, 0.5000, 0.0000) (multiplicity 1)
Cu (0.5000, 0.5000, 0.3193) (multiplicity 2)

***

11.
Theoretical powder diffraction line list
Compound: Rb2OsBr2Cl4
Radiation: copper Kα
Structure: DFT lattice parameters and positions (GGA-PBE)
Kinematic intensities with the Lorentz-polarization factor, no thermal factor.

The 12 most intense peaks (15° ≤ 2θ ≤ 90°), low angle first:
- d 5.197, 2θ = 17.1°, I 29, hkl 1 1 0
- d 3.673, 2θ = 24.2°, I 86, hkl 2 0 0
- d 3.131, 2θ = 28.5°, I 48, hkl 1 0 3
- d 2.998, 2θ = 29.8°, I 39, hkl 2 0 2
- d 2.596, 2θ = 34.5°, I 100, hkl 0 0 4
- d 2.119, 2θ = 42.7°, I 38, hkl 2 0 4
- d 2.000, 2θ = 45.3°, I 20, hkl 3 2 1
- d 1.836, 2θ = 49.7°, I 67, hkl 2 2 4
- d 1.755, 2θ = 52.1°, I 26, hkl 3 2 3
- d 1.499, 2θ = 61.9°, I 22, hkl 4 0 4
- d 1.388, 2θ = 67.5°, I 19, hkl 4 2 4
- d 1.162, 2θ = 83.1°, I 18, hkl 4 4 4

Structure:
Unit cell a=7.3494 b=7.3494 c=10.3672 alpha=90.00 beta=90.00 gamma=90.00
Space group I4/mmm (No. 139)
One atom of each set of equivalent atoms:
Rb (0.0000, 0.5000, 0.2500) (multiplicity 4)
Os (0.0000, 0.0000, 0.0000) (multiplicity 2)
Br (0.0000, 0.0000, 0.2427) (multiplicity 4)
Cl (0.2263, 0.2263, 0.0000) (multiplicity 8)

***

12.
Theoretical powder diffraction line list
Compound: KN2F6
Radiation: copper Kα
Structure: DFT lattice parameters and positions (GGA-PBE)
Kinematic intensities with the Lorentz-polarization factor, no thermal factor.

The 12 most intense peaks (15° ≤ 2θ ≤ 90°), low angle first:
- d 4.114, 2θ = 21.6°, I 62, hkl 0 2 0
- d 3.613, 2θ = 24.6°, I 39, hkl 1 1 1
- d 3.565, 2θ = 25.0°, I 35, hkl 3 1 -1
- d 3.479, 2θ = 25.6°, I 28, hkl 1 1 -2
- d 3.433, 2θ = 26.0°, I 100, hkl 0 2 1
- d 3.411, 2θ = 26.1°, I 66, hkl 2 2 -1
- d 3.050, 2θ = 29.3°, I 29, hkl 4 0 -2
- d 2.625, 2θ = 34.2°, I 81, hkl 1 3 0
- d 2.330, 2θ = 38.6°, I 31, hkl 5 1 -2
- d 2.268, 2θ = 39.8°, I 30, hkl 4 0 0
- d 1.870, 2θ = 48.7°, I 37, hkl 4 2 -4
- d 1.770, 2θ = 51.6°, I 27, hkl 5 1 0

Structure:
Unit cell a=12.2360 b=8.2277 c=8.4007 alpha=90.00 beta=132.21 gamma=90.00
Space group C2/c (No. 15)
One atom of each set of equivalent atoms:
K (0.0000, 0.0089, 0.2500) (multiplicity 4)
N (0.1246, 0.4477, 0.6248) (multiplicity 8)
F (0.1028, 0.3368, 0.7247) (multiplicity 8)
F (0.1134, 0.3525, 0.4779) (multiplicity 8)
F (0.1660, 0.0483, 0.1604) (multiplicity 8)